Entry 1:
The following is a calculated X-ray powder pattern of Na2InSn6. It was derived from a crystal structure in Alexandria, relaxed with GGA-PBE, using Cu Kα.

Largest 6 diffraction maxima, by intensity, 2θ from 5° to 70°:
Position (°2θ), Rel. int.
32.3, 1000
35.4, 721
32.7, 482
32.9, 473
16.2, 226
42.1, 217

Crystal structure
```
Na2InSn6
1.0
6.6606 -5.4581 0.0000
6.6606 5.4581 0.0000
-0.9143 0.0000 3.4161
Na In Sn
2 1 6
Direct
0.0000 0.0000 0.0000 Na
0.6177 0.6177 0.6166 Na
0.3080 0.3080 0.3057 In
0.2754 0.6521 0.9636 Sn
0.3426 0.9639 0.6521 Sn
0.6521 0.2754 0.9636 Sn
0.6573 0.9604 0.3082 Sn
0.9604 0.6573 0.3082 Sn
0.9639 0.3426 0.6521 Sn
```


Entry 2:
The following is a calculated X-ray powder pattern of NaIn3Sn. It was derived from a crystal structure in Alexandria, relaxed with GGA-PBE, using Cu Kα.

Largest 6 diffraction maxima, by intensity, 2θ from 5° to 70°:
Position (°2θ), Rel. int.
33.2, 1000
23.2, 538
18.9, 515
40.7, 391
42.8, 390
43.1, 377

Crystal structure
```
NaIn3Sn
1.0
6.5874 0.0000 0.0000
0.0000 6.6833 0.0000
0.0000 0.0000 6.6319
Na In Sn
2 6 2
Direct
0.0000 0.2448 0.0000 Na
0.5000 0.7552 0.5000 Na
0.0000 0.6014 0.3431 In
0.2496 0.2553 0.4917 In
0.2504 0.7447 0.9917 In
0.5000 0.3986 0.8431 In
0.7504 0.2553 0.4917 In
0.7496 0.7447 0.9917 In
0.0000 0.9061 0.6445 Sn
0.5000 0.0939 0.1445 Sn
```


Entry 3:
The following is a calculated X-ray powder pattern of Na4In5Sn2. It was derived from a crystal structure in Alexandria, relaxed with GGA-PBE, using Cu Kα.

Largest 6 diffraction maxima, by intensity, 2θ from 5° to 70°:
Position (°2θ), Rel. int.
26.5, 1000
33.8, 829
33.4, 598
33.2, 551
43.4, 516
19.8, 443

Crystal structure
```
Na4In5Sn2
1.0
9.9416 0.0000 0.0000
0.0000 3.3577 0.0000
-4.3779 0.0000 9.0481
Na In Sn
4 5 2
Direct
0.2325 0.0000 0.2333 Na
0.2661 0.0000 0.7329 Na
0.7339 0.0000 0.2671 Na
0.7675 0.0000 0.7667 Na
0.0881 0.5000 0.9079 In
0.0966 0.5000 0.4219 In
0.5000 0.5000 0.5000 In
0.9034 0.5000 0.5781 In
0.9119 0.5000 0.0921 In
0.4222 0.5000 0.1006 Sn
0.5778 0.5000 0.8994 Sn
```


Entry 4:
The following is a calculated X-ray powder pattern of Na6InSn. It was derived from a crystal structure in Alexandria, relaxed with GGA-PBE, using Cu Kα.

Largest 6 diffraction maxima, by intensity, 2θ from 5° to 70°:
Position (°2θ), Rel. int.
20.3, 1000
28.9, 993
35.4, 776
35.8, 750
20.2, 671
35.5, 382

Crystal structure
```
Na6InSn
1.0
6.1796 0.0000 0.0000
-0.0001 6.1801 0.0000
-0.0260 -0.0832 6.1802
Na In Sn
6 1 1
Direct
0.0001 0.0021 0.2548 Na
0.9999 0.9979 0.7452 Na
0.2546 0.4993 0.5002 Na
0.4993 0.7548 0.9996 Na
0.5007 0.2452 0.0004 Na
0.7454 0.5007 0.4998 Na
0.0000 0.5000 0.0000 In
0.5000 0.0000 0.5000 Sn
```


Entry 5:
The following is a calculated X-ray powder pattern of Na12In3Sn. It was derived from a crystal structure in Alexandria, relaxed with GGA-PBE, using Cu Kα.

Largest 6 diffraction maxima, by intensity, 2θ from 5° to 70°:
Position (°2θ), Rel. int.
31.4, 1000
18.0, 689
25.5, 599
36.5, 333
62.5, 257
40.9, 231

Crystal structure
```
Na12In3Sn
1.0
4.9279 0.0000 0.0000
0.0000 4.9279 0.0000
0.0000 0.0000 19.7978
Na In Sn
12 3 1
Direct
0.0000 0.0000 0.0000 Na
0.0000 0.0000 0.2491 Na
0.0000 0.0000 0.5000 Na
0.0000 0.0000 0.7509 Na
0.0000 0.5000 0.1209 Na
0.0000 0.5000 0.3756 Na
0.0000 0.5000 0.6244 Na
0.0000 0.5000 0.8791 Na
0.5000 0.0000 0.1209 Na
0.5000 0.0000 0.3756 Na
0.5000 0.0000 0.6244 Na
0.5000 0.0000 0.8791 Na
0.5000 0.5000 0.2493 In
0.5000 0.5000 0.5000 In
0.5000 0.5000 0.7507 In
0.5000 0.5000 0.0000 Sn
```


Entry 6:
The following is a calculated X-ray powder pattern of Na2InSn2. It was derived from a crystal structure in Alexandria, relaxed with GGA-PBE, using Cu Kα.

Largest 6 diffraction maxima, by intensity, 2θ from 5° to 70°:
Position (°2θ), Rel. int.
35.8, 1000
20.1, 841
23.5, 422
36.9, 417
29.7, 343
32.5, 337

Crystal structure
```
Na2InSn2
1.0
5.9179 -2.4362 0.0000
5.9179 2.4362 0.0000
-5.3715 0.0000 10.3118
Na In Sn
4 2 4
Direct
0.0156 0.0156 0.1908 Na
0.1829 0.1829 0.6056 Na
0.8171 0.8171 0.3944 Na
0.9844 0.9844 0.8092 Na
0.2923 0.2923 0.1638 In
0.7077 0.7077 0.8362 In
0.3614 0.3614 0.9452 Sn
0.4636 0.4636 0.6027 Sn
0.5364 0.5364 0.3973 Sn
0.6386 0.6386 0.0548 Sn
```


Entry 7:
The following is a calculated X-ray powder pattern of Na3In2Sn4. It was derived from a crystal structure in Alexandria, relaxed with GGA-PBE, using Cu Kα.

Largest 6 diffraction maxima, by intensity, 2θ from 5° to 70°:
Position (°2θ), Rel. int.
32.9, 1000
36.4, 786
31.9, 567
32.7, 502
17.5, 316
40.4, 282

Crystal structure
```
Na3In2Sn4
1.0
5.6005 0.0000 0.0000
-2.7695 5.1787 0.0000
-2.0226 -1.7748 8.4153
Na In Sn
3 2 4
Direct
0.0000 0.0000 0.0000 Na
0.4197 0.8837 0.6723 Na
0.5803 0.1163 0.3277 Na
0.0961 0.2271 0.6655 In
0.9039 0.7729 0.3345 In
0.2508 0.4556 0.3351 Sn
0.3223 0.6419 0.0057 Sn
0.6777 0.3581 0.9943 Sn
0.7492 0.5444 0.6649 Sn
```


Entry 8:
The following is a calculated X-ray powder pattern of Na3In8Sn2. It was derived from a crystal structure in Alexandria, relaxed with GGA-PBE, using Cu Kα.

Largest 6 diffraction maxima, by intensity, 2θ from 5° to 70°:
Position (°2θ), Rel. int.
34.2, 1000
32.4, 735
14.9, 590
30.2, 478
53.8, 370
60.5, 363

Crystal structure
```
Na3In8Sn2
1.0
3.0604 1.7670 11.8727
-3.0604 1.7670 11.8727
0.0000 -3.5339 11.8727
Na In Sn
3 8 2
Direct
0.0000 0.0000 0.0000 Na
0.1843 0.1843 0.1843 Na
0.8157 0.8157 0.8157 Na
0.2289 0.7319 0.7319 In
0.2681 0.2681 0.7711 In
0.2681 0.7711 0.2681 In
0.2787 0.2787 0.2787 In
0.7213 0.7213 0.7213 In
0.7319 0.2289 0.7319 In
0.7319 0.7319 0.2289 In
0.7711 0.2681 0.2681 In
0.3619 0.3619 0.3619 Sn
0.6381 0.6381 0.6381 Sn
```


Entry 9:
The following is a calculated X-ray powder pattern of Na3In2Sn4. It was derived from a crystal structure in Alexandria, relaxed with GGA-PBE, using Cu Kα.

Largest 6 diffraction maxima, by intensity, 2θ from 5° to 70°:
Position (°2θ), Rel. int.
33.7, 1000
43.8, 650
33.5, 609
19.3, 511
27.1, 387
66.9, 275

Crystal structure
```
Na3In2Sn4
1.0
7.9857 -4.5934 0.0000
7.9857 4.5934 0.0000
-0.0011 0.0000 6.5798
Na In Sn
6 4 8
Direct
0.9997 0.0003 0.2500 Na
0.0003 0.9997 0.7500 Na
0.3338 0.3347 0.2500 Na
0.3347 0.3338 0.7500 Na
0.6653 0.6662 0.2500 Na
0.6662 0.6653 0.7500 Na
0.9996 0.3347 0.0014 In
0.0004 0.6653 0.9986 In
0.3347 0.9996 0.5014 In
0.6653 0.0004 0.4986 In
0.0002 0.3331 0.5010 Sn
0.9998 0.6669 0.4990 Sn
0.3331 0.0002 0.0010 Sn
0.3334 0.6661 0.0000 Sn
0.3339 0.6666 0.5000 Sn
0.6661 0.3334 0.5000 Sn
0.6669 0.9998 0.9990 Sn
0.6666 0.3339 0.0000 Sn
```


Entry 10:
The following is a calculated X-ray powder pattern of NaIn4Sn2. It was derived from a crystal structure in Alexandria, relaxed with GGA-PBE, using Cu Kα.

Largest 6 diffraction maxima, by intensity, 2θ from 5° to 70°:
Position (°2θ), Rel. int.
37.0, 1000
29.8, 875
32.9, 509
10.7, 508
37.8, 348
51.0, 307

Crystal structure
```
NaIn4Sn2
1.0
2.7217 -8.2656 0.0000
2.7217 8.2656 0.0000
0.0000 0.0000 4.7555
Na In Sn
1 4 2
Direct
0.0000 0.0000 0.0000 Na
0.1755 0.8245 0.5000 In
0.3000 0.7000 0.0000 In
0.7000 0.3000 0.0000 In
0.8245 0.1755 0.5000 In
0.4117 0.5883 0.5000 Sn
0.5883 0.4117 0.5000 Sn
```


Entry 11:
The following is a calculated X-ray powder pattern of NaInSn2. It was derived from a crystal structure in Alexandria, relaxed with GGA-PBE, using Cu Kα.

Largest 6 diffraction maxima, by intensity, 2θ from 5° to 70°:
Position (°2θ), Rel. int.
30.1, 1000
20.8, 974
30.5, 552
20.6, 488
45.3, 444
42.3, 377

Crystal structure
```
NaInSn2
1.0
6.4063 0.0000 0.0000
0.0000 6.6039 0.0000
0.0000 0.0000 11.6411
Na In Sn
4 4 8
Direct
0.1155 0.1222 0.4346 Na
0.3845 0.8778 0.9346 Na
0.6155 0.3778 0.5654 Na
0.8845 0.6222 0.0654 Na
0.1048 0.5865 0.6081 In
0.3952 0.4135 0.1081 In
0.6048 0.9135 0.3919 In
0.8952 0.0865 0.8919 In
0.0633 0.1159 0.1238 Sn
0.2236 0.2244 0.7354 Sn
0.2764 0.7756 0.2354 Sn
0.4367 0.8841 0.6238 Sn
0.5633 0.3841 0.8762 Sn
0.7236 0.2756 0.2646 Sn
0.7764 0.7244 0.7646 Sn
0.9367 0.6159 0.3762 Sn
```


Entry 12:
The following is a calculated X-ray powder pattern of NaInSn4. It was derived from a crystal structure in Alexandria, relaxed with GGA-PBE, using Cu Kα.

Largest 6 diffraction maxima, by intensity, 2θ from 5° to 70°:
Position (°2θ), Rel. int.
33.3, 1000
33.9, 722
32.6, 528
33.6, 357
58.7, 280
27.7, 236

Crystal structure
```
NaInSn4
1.0
6.4320 0.0000 0.0000
0.0000 9.2561 0.0000
-0.0568 0.0000 5.4885
Na In Sn
2 2 8
Direct
0.0000 0.2505 0.2500 Na
0.0000 0.7495 0.7500 Na
0.5000 0.2496 0.2500 In
0.5000 0.7504 0.7500 In
0.2575 0.0815 0.7483 Sn
0.2579 0.4184 0.7485 Sn
0.2579 0.5816 0.2485 Sn
0.2575 0.9185 0.2483 Sn
0.7425 0.0815 0.7517 Sn
0.7421 0.4184 0.7515 Sn
0.7421 0.5816 0.2515 Sn
0.7425 0.9185 0.2517 Sn
```


What did the ninth record say?
The following is a calculated X-ray powder pattern of Na3In2Sn4. It was derived from a crystal structure in Alexandria, relaxed with GGA-PBE, using Cu Kα.

Largest 6 diffraction maxima, by intensity, 2θ from 5° to 70°:
Position (°2θ), Rel. int.
33.7, 1000
43.8, 650
33.5, 609
19.3, 511
27.1, 387
66.9, 275

Crystal structure
```
Na3In2Sn4
1.0
7.9857 -4.5934 0.0000
7.9857 4.5934 0.0000
-0.0011 0.0000 6.5798
Na In Sn
6 4 8
Direct
0.9997 0.0003 0.2500 Na
0.0003 0.9997 0.7500 Na
0.3338 0.3347 0.2500 Na
0.3347 0.3338 0.7500 Na
0.6653 0.6662 0.2500 Na
0.6662 0.6653 0.7500 Na
0.9996 0.3347 0.0014 In
0.0004 0.6653 0.9986 In
0.3347 0.9996 0.5014 In
0.6653 0.0004 0.4986 In
0.0002 0.3331 0.5010 Sn
0.9998 0.6669 0.4990 Sn
0.3331 0.0002 0.0010 Sn
0.3334 0.6661 0.0000 Sn
0.3339 0.6666 0.5000 Sn
0.6661 0.3334 0.5000 Sn
0.6669 0.9998 0.9990 Sn
0.6666 0.3339 0.0000 Sn
```